Starting from a structure optimized by DFT (PBE+U), the powder XRD pattern of P4WO12 was simulated for Cu Ka.
Neutral-atom scattering factors, no anomalous dispersion.

Largest 8 diffraction maxima, sorted by position, 15° ≤ 2θ ≤ 90°:
2θ (°)  I (rel.)  h k l
17.58  35.0  0 2 1
18.79  32.0  1 0 -1
21.09  47.6  1 2 0
22.80  100.0  1 2 -1
24.13  42.9  0 0 2
25.77  42.5  1 2 1
30.86  42.8  1 4 0
32.09  34.0  1 4 -1

Cell and atoms:
abc: 5.398 13.825 7.492
angles: 90.00 100.12 90.00
Space group P2_1 (No. 4)
Symmetry-distinct sites (fractional):
P: 0.020 0.000 0.071
P: 0.024 0.223 0.078
P: 0.124 0.810 0.592
P: 0.215 0.452 0.620
W: 0.497 0.861 0.995
O: 0.028 0.979 0.279
O: 0.032 0.239 0.288
O: 0.038 0.612 0.955
O: 0.070 0.400 0.440
O: 0.169 0.762 0.428
O: 0.188 0.778 0.035
O: 0.197 0.449 0.047
O: 0.277 0.982 0.022
O: 0.284 0.241 0.033
O: 0.346 0.852 0.728
O: 0.353 0.538 0.581
O: 0.357 0.371 0.739